Record 1
Diffraction record for Li3Co2Ni2O8. The XRD peak list is computed, not measured: it uses a crystal structure in Alexandria, relaxed with PBE+U and a wavelength of 1.5418 Å.

Atomic structure:
```
data_Li3Co2Ni2O8
_cell_length_a 5.6804
_cell_length_b 5.7848
_cell_length_c 5.8167
_cell_angle_alpha 91.49
_cell_angle_beta 118.63
_cell_angle_gamma 119.29
_symmetry_space_group_name_H-M 'P -1'
_symmetry_Int_Tables_number 2
_symmetry_space_group_name_Hall '-P 1'
loop_
_atom_site_label
_atom_site_type_symbol
_atom_site_fract_x
_atom_site_fract_y
_atom_site_fract_z
_atom_site_occupancy
Li1 Li 0.0000 0.0000 0.0000 1
Li2 Li 0.0000 0.5000 0.0000 1
Li3 Li 0.5000 0.0000 0.5000 1
Co1 Co 0.0000 0.5000 0.5000 1
Co2 Co 0.5000 0.5000 0.5000 1
Ni1 Ni 0.0000 0.0000 0.5000 1
Ni2 Ni 0.5000 0.5000 0.0000 1
O1 O 0.0007 0.7398 0.2843 1
O2 O 0.0333 0.2813 0.2721 1
O3 O 0.4633 0.7123 0.7136 1
O4 O 0.4669 0.2602 0.7093 1
```

The 6 most intense peaks (10° ≤ 2θ ≤ 90°), sorted by position:
| hkl | 2theta | I/Imax |
| --- | --- | --- |
| 0 0 1 | 18.48 | 76 |
| 0 1 0 | 18.70 | 64 |
| 1 -1 0 | 18.92 | 100 |
| 0 2 -2 | 43.57 | 51 |
| 2 0 0 | 44.29 | 49 |
| -2 2 2 | 44.79 | 48 |

***

Record 2
Diffraction record for KAlCo3Si3H2O12. The XRD peak list is computed, not measured: it uses a crystal structure in Alexandria, relaxed with PBE+U and a wavelength of 1.5418 Å.

Atomic structure:
```
data_KAlCo3Si3H2O12
_cell_length_a 5.3594
_cell_length_b 5.3616
_cell_length_c 10.7534
_cell_angle_alpha 80.72
_cell_angle_beta 85.33
_cell_angle_gamma 60.02
_symmetry_space_group_name_H-M 'P 1'
_symmetry_Int_Tables_number 1
_symmetry_space_group_name_Hall 'P 1'
loop_
_atom_site_label
_atom_site_type_symbol
_atom_site_fract_x
_atom_site_fract_y
_atom_site_fract_z
_atom_site_occupancy
K1 K 0.0000 0.0000 0.0000 1
Al1 Al 0.3342 0.4002 0.7911 1
Co1 Co 0.3347 0.8191 0.5297 1
Co2 Co 0.6632 0.1556 0.5293 1
Co3 Co 0.9992 0.4934 0.5294 1
Si1 Si 0.3337 0.2414 0.2620 1
Si2 Si 0.6664 0.7327 0.7958 1
Si3 Si 0.6674 0.5764 0.2618 1
H1 H 0.0010 0.0969 0.7143 1
H2 H 0.9857 0.8945 0.3347 1
O1 O 0.9999 0.1271 0.6228 1
O2 O 0.0008 0.4277 0.2034 1
O3 O 0.3334 0.1894 0.4138 1
O4 O 0.3371 0.4526 0.6252 1
O5 O 0.4315 0.6297 0.8499 1
O6 O 0.5013 0.4267 0.2047 1
O7 O 0.5006 0.9280 0.2028 1
O8 O 0.5816 0.0351 0.8499 1
O9 O 0.6644 0.7851 0.6390 1
O10 O 0.6685 0.5294 0.4136 1
O11 O 0.9871 0.4798 0.8488 1
O12 O 0.9925 0.8616 0.4260 1
```

The 6 most intense peaks (10° ≤ 2θ ≤ 90°), sorted by position:
| hkl | 2theta | I/Imax |
| --- | --- | --- |
| 0 0 3 | 25.17 | 87 |
| 1 2 0 | 33.85 | 79 |
| 2 1 1 | 33.93 | 100 |
| 2 1 2 | 36.40 | 70 |
| 2 1 3 | 40.63 | 60 |
| 3 3 1 | 59.75 | 61 |